This entry pairs a crystal structure of SrLuAgTe2Se with its computed powder XRD pattern. Radiation: λ = 1.5418 Å (Cu Kα). Structure: a structure optimized by DFT (PBE).

Structural model:
Lattice parameters (Å, degrees): 4.278 14.705 10.726 90.00 90.00 90.00
Space group Cmcm (No. 63)
Symmetry-distinct sites (fractional):
Sr (0.000, 0.239, 0.250) [4 per cell]
Lu (0.000, 0.500, 0.000) [4 per cell]
Ag (0.000, 0.027, 0.750) [4 per cell]
Te (0.000, 0.145, 0.549) [8 per cell]
Se (0.000, 0.419, 0.750) [4 per cell]

Most intense lines, 10° ≤ 2θ ≤ 90°, most intense first:
| d_spacing | Rel. int. |
| --- | --- |
| 2.763 | 100 |
| 3.220 | 63 |
| 3.087 | 45 |
| 7.353 | 40 |
| 2.209 | 39 |
| 2.681 | 35 |
| 2.139 | 31 |
| 2.229 | 24 |

This entry pairs a crystal structure of Th2Se5 with its computed powder XRD pattern. Radiation: λ = 1.5418 Å (Cu Kα). Structure: a structure optimized by DFT (PBE).

Structural model:
Lattice parameters (Å, degrees): 8.007 10.775 8.020 90.00 90.00 90.00
Space group Pbcn (No. 60)
Symmetry-distinct sites (fractional):
Th (0.242, 0.147, 0.009) [8 per cell]
Se (0.000, 0.250, 0.750) [4 per cell]
Se (0.113, 0.397, 0.137) [8 per cell]
Se (0.130, 0.107, 0.381) [8 per cell]

Most intense lines, 10° ≤ 2θ ≤ 90°, most intense first:
| d_spacing | Rel. int. |
| --- | --- |
| 2.293 | 100 |
| 3.905 | 45 |
| 4.007 | 39 |
| 2.833 | 37 |
| 2.236 | 28 |
| 2.694 | 20 |
| 3.034 | 18 |
| 1.492 | 17 |

This entry pairs a crystal structure of ScCu4NiB2 with its computed powder XRD pattern. Radiation: λ = 1.5418 Å (Cu Kα). Structure: a structure optimized by DFT (PBE).

Structural model:
Lattice parameters (Å, degrees): 3.819 3.819 6.268 90.00 90.00 90.00
Space group P4/mmm (No. 123)
Symmetry-distinct sites (fractional):
Sc (0.000, 0.000, 0.000) [1 per cell]
Cu (0.000, 0.500, 0.279) [4 per cell]
Ni (0.500, 0.500, 0.500) [1 per cell]
B (0.000, 0.000, 0.500) [1 per cell]
B (0.500, 0.500, 0.000) [1 per cell]

Most intense lines, 10° ≤ 2θ ≤ 90°, most intense first:
| d_spacing | Rel. int. |
| --- | --- |
| 2.046 | 100 |
| 1.910 | 44 |
| 1.127 | 25 |
| 3.261 | 23 |
| 2.701 | 18 |
| 6.268 | 15 |
| 1.350 | 13 |
| 1.211 | 12 |

This entry pairs a crystal structure of Ni25W4 with its computed powder XRD pattern. Radiation: λ = 1.5418 Å (Cu Kα). Structure: a structure optimized by DFT (PBE).

Structural model:
Lattice parameters (Å, degrees): 8.696 8.696 8.696 90.00 90.00 90.00
Space group I-43m (No. 217)
Symmetry-distinct sites (fractional):
Ni (0.000, 0.000, 0.000) [2 per cell]
Ni (0.045, 0.363, 0.637) [24 per cell]
Ni (0.093, 0.093, 0.718) [24 per cell]
W (0.181, 0.181, 0.181) [8 per cell]

Most intense lines, 10° ≤ 2θ ≤ 90°, most intense first:
| d_spacing | Rel. int. |
| --- | --- |
| 2.050 | 100 |
| 1.183 | 22 |
| 1.854 | 20 |
| 3.550 | 15 |
| 1.775 | 13 |
| 1.230 | 8 |
| 4.348 | 8 |
| 2.324 | 7 |

Repeat the fourth record exactly.
This entry pairs a crystal structure of Ni25W4 with its computed powder XRD pattern. Radiation: λ = 1.5418 Å (Cu Kα). Structure: a structure optimized by DFT (PBE).

Structural model:
Lattice parameters (Å, degrees): 8.696 8.696 8.696 90.00 90.00 90.00
Space group I-43m (No. 217)
Symmetry-distinct sites (fractional):
Ni (0.000, 0.000, 0.000) [2 per cell]
Ni (0.045, 0.363, 0.637) [24 per cell]
Ni (0.093, 0.093, 0.718) [24 per cell]
W (0.181, 0.181, 0.181) [8 per cell]

Most intense lines, 10° ≤ 2θ ≤ 90°, most intense first:
| d_spacing | Rel. int. |
| --- | --- |
| 2.050 | 100 |
| 1.183 | 22 |
| 1.854 | 20 |
| 3.550 | 15 |
| 1.775 | 13 |
| 1.230 | 8 |
| 4.348 | 8 |
| 2.324 | 7 |